Entry 1:
This entry pairs a crystal structure of MgSe with its calculated X-ray diffraction stick pattern. Radiation: Cu Kα X-rays. Structure: a DFT-relaxed cell (GGA-PBE, the Materials Project).

Largest 10 diffraction maxima, by intensity, 2θ = 5–70°:
Position (°2θ)  I (rel.)
27.46  100
24.16  64
46.63  55
42.50  55
25.88  46
50.44  42
35.70  29
64.91  20
51.35  17
68.79  14

Structure:
a b c (Å): 4.2538 4.2538 6.8853
angles (deg): 90.00 90.00 120.00
Fractional coordinates of all 4 atoms:
Mg  0.3333  0.6667  0.0000
Mg  0.6667  0.3333  0.5000
Se  0.3333  0.6667  0.3775
Se  0.6667  0.3333  0.8775

=====

Entry 2:
This entry pairs a crystal structure of Mg2TeSe with its calculated X-ray diffraction stick pattern. Radiation: Cu Kα X-rays. Structure: a DFT-relaxed cell (GGA-PBE, the Materials Project).

Largest 10 diffraction maxima, by intensity, 2θ = 5–70°:
Position (°2θ)  I (rel.)
24.63  100
40.77  57
48.21  47
28.52  27
64.93  19
66.84  10
59.02  9
50.50  7
12.23  4
23.58  3

Structure:
a b c (Å): 4.4248 4.4248 21.7023
angles (deg): 90.00 90.00 120.00
Fractional coordinates of all 12 atoms:
Mg  0.0000  0.0000  0.0000
Mg  0.0000  0.0000  0.4887
Mg  0.3333  0.6667  0.1553
Mg  0.3333  0.6667  0.6667
Mg  0.6667  0.3333  0.3333
Mg  0.6667  0.3333  0.8220
Te  0.0000  0.0000  0.8708
Te  0.3333  0.6667  0.5375
Te  0.6667  0.3333  0.2042
Se  0.0000  0.0000  0.3688
Se  0.3333  0.6667  0.0355
Se  0.6667  0.3333  0.7021

=====

Entry 3:
This entry pairs a crystal structure of Tm2MgSe4 with its calculated X-ray diffraction stick pattern. Radiation: Cu Kα X-rays. Structure: a DFT-relaxed cell (GGA-PBE, the Materials Project).

Largest 10 diffraction maxima, by intensity, 2θ = 5–70°:
Position (°2θ)  I (rel.)
31.40  100
33.53  80
24.12  57
41.45  50
46.42  48
29.97  47
46.23  41
43.68  33
67.61  27
18.87  26

Structure:
a b c (Å): 13.1227 7.8217 13.3873
angles (deg): 90.00 90.00 90.00
Fractional coordinates of all 56 atoms:
Tm  0.1077  0.1161  0.0000
Tm  0.1269  0.6177  0.6398
Tm  0.1337  0.3697  0.3041
Tm  0.1337  0.8697  0.3049
Tm  0.3663  0.3697  0.8041
Tm  0.3663  0.8697  0.8049
Tm  0.3731  0.6177  0.1398
Tm  0.3923  0.1161  0.5000
Tm  0.6077  0.8839  0.0000
Tm  0.6269  0.3823  0.6398
Tm  0.6337  0.1303  0.3049
Tm  0.6337  0.6303  0.3041
Tm  0.8663  0.1303  0.8049
Tm  0.8663  0.6303  0.8041
Tm  0.8731  0.3823  0.1398
Tm  0.8923  0.8839  0.5000
Mg  0.1115  0.6171  0.0041
Mg  0.1262  0.1206  0.6351
Mg  0.3738  0.1206  0.1351
Mg  0.3885  0.6171  0.5041
Mg  0.6115  0.3829  0.0041
Mg  0.6262  0.8794  0.6351
Mg  0.8738  0.8794  0.1351
Mg  0.8885  0.3829  0.5041
Se  0.0139  0.1231  0.1911
Se  0.0222  0.6246  0.1844
Se  0.0338  0.6229  0.4447
Se  0.0434  0.1242  0.4492
Se  0.2116  0.1190  0.8180
Se  0.2131  0.6192  0.8311
Se  0.2323  0.3657  0.0915
Se  0.2315  0.8689  0.0901
Se  0.2677  0.3657  0.5915
Se  0.2685  0.8689  0.5901
Se  0.2869  0.6192  0.3311
Se  0.2884  0.1190  0.3180
Se  0.4566  0.1242  0.9492
Se  0.4662  0.6229  0.9447
Se  0.4778  0.6246  0.6844
Se  0.4861  0.1231  0.6911
Se  0.5139  0.8769  0.1911
Se  0.5222  0.3754  0.1844
Se  0.5338  0.3771  0.4447
Se  0.5434  0.8758  0.4492
Se  0.7116  0.8810  0.8180
Se  0.7131  0.3808  0.8311
Se  0.7315  0.1311  0.0901
Se  0.7323  0.6343  0.0915
Se  0.7685  0.1311  0.5901
Se  0.7677  0.6343  0.5915
Se  0.7869  0.3808  0.3311
Se  0.7884  0.8810  0.3180
Se  0.9566  0.8758  0.9492
Se  0.9662  0.3771  0.9447
Se  0.9778  0.3754  0.6844
Se  0.9861  0.8769  0.6911

=====

Entry 4:
This entry pairs a crystal structure of Tm2MgSe4 with its calculated X-ray diffraction stick pattern. Radiation: Cu Kα X-rays. Structure: a DFT-relaxed cell (GGA-PBE, the Materials Project).

Largest 10 diffraction maxima, by intensity, 2θ = 5–70°:
Position (°2θ)  I (rel.)
26.30  100
33.19  86
14.46  79
31.20  66
29.17  62
46.00  59
23.59  50
40.26  50
40.80  42
45.74  41

Structure:
a b c (Å): 13.0341 3.9677 13.8738
angles (deg): 90.00 90.00 90.00
Fractional coordinates of all 28 atoms:
Tm  0.1138  0.2500  0.0757
Tm  0.1442  0.2500  0.7021
Tm  0.3558  0.7500  0.2021
Tm  0.3862  0.7500  0.5757
Tm  0.6138  0.2500  0.4243
Tm  0.6442  0.2500  0.7979
Tm  0.8558  0.7500  0.2979
Tm  0.8862  0.7500  0.9243
Mg  0.1159  0.7500  0.4424
Mg  0.3841  0.2500  0.9424
Mg  0.6159  0.7500  0.0576
Mg  0.8841  0.2500  0.5576
Se  0.0152  0.7500  0.6141
Se  0.0310  0.2500  0.8808
Se  0.2193  0.2500  0.2520
Se  0.2433  0.2500  0.5152
Se  0.2567  0.7500  0.0152
Se  0.2807  0.7500  0.7520
Se  0.4690  0.7500  0.3808
Se  0.4848  0.2500  0.1141
Se  0.5152  0.7500  0.8859
Se  0.5310  0.2500  0.6192
Se  0.7193  0.2500  0.2480
Se  0.7433  0.2500  0.9848
Se  0.7567  0.7500  0.4848
Se  0.7807  0.7500  0.7480
Se  0.9690  0.7500  0.1192
Se  0.9848  0.2500  0.3859

=====

Entry 5:
This entry pairs a crystal structure of TmMgSe3 with its calculated X-ray diffraction stick pattern. Radiation: Cu Kα X-rays. Structure: a DFT-relaxed cell (GGA-PBE, the Materials Project).

Largest 10 diffraction maxima, by intensity, 2θ = 5–70°:
Position (°2θ)  I (rel.)
29.25  100
13.92  91
43.91  75
28.15  65
26.70  50
42.63  49
25.10  48
32.27  46
25.59  45
43.79  44

Structure:
a b c (Å): 7.3426 7.3426 6.9194
angles (deg): 103.53 103.53 120.13
Fractional coordinates of all 10 atoms:
Tm  0.1958  0.1958  0.3176
Tm  0.8042  0.8042  0.6824
Mg  0.3359  0.6641  0.0000
Mg  0.6641  0.3359  0.0000
Se  0.1225  0.7804  0.2163
Se  0.2196  0.8775  0.7837
Se  0.4678  0.4678  0.7453
Se  0.5322  0.5322  0.2547
Se  0.7804  0.1225  0.2163
Se  0.8775  0.2196  0.7837

=====

Entry 6:
This entry pairs a crystal structure of Tm2MgSe4 with its calculated X-ray diffraction stick pattern. Radiation: Cu Kα X-rays. Structure: a DFT-relaxed cell (GGA-PBE, the Materials Project).

Largest 10 diffraction maxima, by intensity, 2θ = 5–70°:
Position (°2θ)  I (rel.)
24.44  100
19.62  85
42.32  83
29.85  70
45.06  57
34.26  42
42.22  42
25.58  37
37.58  33
24.11  30

Structure:
a b c (Å): 7.3920 8.5625 13.8026
angles (deg): 80.97 84.71 89.99
Fractional coordinates of all 28 atoms:
Tm  0.1315  0.4450  0.2013
Tm  0.1317  0.9547  0.1987
Tm  0.2584  0.1256  0.4996
Tm  0.3636  0.3003  0.7998
Tm  0.6364  0.6997  0.2002
Tm  0.7416  0.8744  0.5004
Tm  0.8683  0.0453  0.8013
Tm  0.8685  0.5550  0.7987
Mg  0.2512  0.6239  0.5023
Mg  0.3675  0.8007  0.7975
Mg  0.6325  0.1993  0.2025
Mg  0.7488  0.3761  0.4977
Se  0.0981  0.4044  0.3974
Se  0.1027  0.8985  0.3955
Se  0.1921  0.5391  0.8741
Se  0.1930  0.0237  0.8750
Se  0.3112  0.7190  0.1230
Se  0.3234  0.2192  0.1248
Se  0.3946  0.8454  0.6082
Se  0.4029  0.3527  0.6037
Se  0.5971  0.6473  0.3963
Se  0.6054  0.1546  0.3918
Se  0.6766  0.7808  0.8752
Se  0.6888  0.2810  0.8770
Se  0.8070  0.9763  0.1250
Se  0.8079  0.4609  0.1259
Se  0.8973  0.1015  0.6045
Se  0.9019  0.5956  0.6026